[1]
Diffraction record for La2Bi3Pd9. The XRD peak list is theoretical, not measured: it uses a DFT-relaxed cell (GGA-PBE, Alexandria) and Cu Kα (λ = 1.5418 Å).
Kinematic intensities with the Lorentz-polarization factor, no thermal factor.

The 10 most intense peaks (2θ from 10° to 80°), low angle first:
2θ/deg	I/Imax
28.53	59.0
31.18	30.8
35.71	97.8
37.27	100.0
37.39	43.3
38.03	56.2
38.09	25.5
42.05	41.8
44.04	43.1
47.67	25.2

Crystal structure
Lattice parameters (Å, degrees): 14.4324 8.3654 9.4507 90.00 90.00 90.00
Space group Cmcm (No. 63)
One atom of each set of equivalent atoms:
La1 0.1527 0.1769 0.2500 x8
Bi1 0.0000 0.0000 0.0000 x4
Bi2 0.1844 0.5000 0.0000 x8
Pd1 0.0000 0.1604 0.7500 x4
Pd2 0.0000 0.3361 0.0341 x8
Pd3 0.0936 0.4630 0.7500 x8
Pd4 0.1682 0.1798 0.5953 x16

[2]
Diffraction record for Tb2Y2HoEr2. The XRD peak list is theoretical, not measured: it uses a DFT-relaxed cell (GGA-PBE, Alexandria) and Cu Kα (λ = 1.5418 Å).
Kinematic intensities with the Lorentz-polarization factor, no thermal factor.

The 10 most intense peaks (2θ from 10° to 80°), low angle first:
2θ/deg	I/Imax
10.90	5.4
31.56	100.0
31.70	98.9
45.34	36.8
56.12	19.8
56.41	57.7
65.90	12.4
66.22	11.8
74.98	16.5
75.21	16.4

Crystal structure
Lattice parameters (Å, degrees): 5.6452 5.6452 24.3544 90.00 90.00 120.00
Space group R-3m (No. 166, hexagonal axes)
One atom of each set of equivalent atoms:
Tb1 0.0000 0.0000 0.2142 x6
Y1 0.0000 0.0000 0.3584 x6
Ho1 0.0000 0.0000 0.5000 x3
Er1 0.0000 0.0000 0.0708 x6